(1)
LaHo4Ru2: theoretical powder diffraction line list (CuKα), based on a structure optimized by DFT (PBE).

Crystal structure
a b c (Å): 7.6718 6.4390 8.1626
angles (deg): 90.00 113.63 90.00
Space group P2_1/m (No. 11)
Asymmetric unit:
La 0.0217 0.2500 0.1720
Ho 0.2487 0.5013 0.5864
Ho 0.3244 0.7500 0.2601
Ho 0.3814 0.2500 0.0148
Ru 0.0220 0.2500 0.7220
Ru 0.4037 0.2500 0.3632

Largest 8 diffraction maxima, low angle first, 2θ from 5° to 70°:
hkl	2theta	intensity
0 2 1	30.2	90.9
2 1 -2	30.4	95.8
1 2 -1	30.9	66.6
1 0 -3	33.0	100.0
1 1 2	34.3	68.6
1 2 -2	35.7	98.2
2 2 -1	36.5	66.9
2 2 0	37.9	77.1

***

(2)
Sr2MgMoN4: theoretical powder diffraction line list (CuKα), based on a structure optimized by DFT (PBE).

Crystal structure
a b c (Å): 7.1648 6.1776 5.9657
angles (deg): 90.00 90.00 90.00
Space group Pmn2_1 (No. 31)
Asymmetric unit:
Sr 0.2479 0.2357 0.0000
Mg 0.0000 0.7845 0.9940
Mo 0.0000 0.2030 0.4928
N 0.0000 0.0062 0.2541
N 0.0000 0.0222 0.7457
N 0.2274 0.3578 0.4811

Largest 8 diffraction maxima, low angle first, 2θ from 5° to 70°:
hkl	2theta	intensity
1 1 0	19.0	15.2
1 0 1	19.4	13.8
0 2 0	28.9	33.8
0 0 2	30.0	37.3
2 1 1	32.6	100.0
0 2 2	42.1	30.7
2 3 1	53.6	21.5
2 1 3	54.9	22.5

***

(3)
Bi2PbF8: theoretical powder diffraction line list (CuKα), based on a structure optimized by DFT (PBE).

Crystal structure
a b c (Å): 4.3002 4.3002 16.6366
angles (deg): 90.00 90.00 90.00
Space group I4/mmm (No. 139)
Asymmetric unit:
Bi 0.0000 0.0000 0.1775
Pb 0.0000 0.0000 0.5000
F 0.0000 0.0000 0.3138
F 0.0000 0.5000 0.0869
F 0.0000 0.5000 0.2500

Largest 8 diffraction maxima, low angle first, 2θ from 5° to 70°:
hkl	2theta	intensity
1 0 3	26.2	100.0
1 1 0	29.4	33.3
0 0 6	32.3	11.1
2 0 0	42.0	26.7
1 1 6	44.2	40.9
2 1 3	50.2	36.4
1 0 9	54.0	23.7
3 0 3	67.5	9.7

***

(4)
PuIn2Au4: theoretical powder diffraction line list (CuKα), based on a structure optimized by DFT (PBE).

Crystal structure
a b c (Å): 4.0939 4.0939 10.2446
angles (deg): 90.00 90.00 90.00
Space group P-42m (No. 111)
Asymmetric unit:
Pu 0.0000 0.0000 0.0000
In 0.0000 0.5000 0.5000
Au 0.2612 0.2612 0.2426

Largest 8 diffraction maxima, low angle first, 2θ from 5° to 70°:
hkl	2theta	intensity
1 0 1	23.4	13.9
1 0 2	27.9	14.2
1 1 1	32.1	100.0
0 0 4	35.0	36.9
1 1 3	40.9	51.8
2 0 2	47.9	62.1
1 1 5	54.9	21.5
2 2 0	64.4	13.2

***

(5)
CaHo2Zn2: theoretical powder diffraction line list (CuKα), based on a structure optimized by DFT (PBE).

Crystal structure
a b c (Å): 3.6315 20.2795 3.5397
angles (deg): 90.00 90.00 90.00
Space group Cmmm (No. 65)
Asymmetric unit:
Ca 0.0000 0.0000 0.0000
Ho 0.0000 0.1751 0.0000
Zn 0.0000 0.4035 0.5000

Largest 8 diffraction maxima, low angle first, 2θ from 5° to 70°:
hkl	2theta	intensity
0 2 0	8.7	54.3
0 2 1	26.7	39.8
1 3 0	27.9	52.9
1 5 0	33.1	100.0
1 1 1	35.7	89.2
0 6 1	36.8	99.0
1 3 1	37.9	79.2
1 11 1	62.3	39.4

***

(6)
TbHo5Tm5: theoretical powder diffraction line list (CuKα), based on a structure optimized by DFT (PBE).

Crystal structure
a b c (Å): 6.7453 6.8795 8.1988
angles (deg): 76.22 76.84 72.67
Space group P-1 (No. 2)
Asymmetric unit:
Tb 0.0000 0.0000 0.0000
Ho 0.0000 0.5000 0.0000
Ho 0.1580 0.6302 0.3585
Ho 0.3266 0.7655 0.6547
Tm 0.2080 0.1376 0.3163
Tm 0.3524 0.2481 0.7191
Tm 0.5000 0.5000 0.0000

Largest 8 diffraction maxima, low angle first, 2θ from 5° to 70°:
hkl	2theta	intensity
0 2 -1	31.8	56.6
2 0 -1	32.2	100.0
0 2 2	32.5	70.9
2 2 1	32.7	96.8
2 0 2	33.2	74.2
0 0 3	34.3	89.5
2 2 4	49.3	21.4
4 2 3	59.4	28.3

***

(7)
Cd22Au: theoretical powder diffraction line list (CuKα), based on a structure optimized by DFT (PBE).

Crystal structure
a b c (Å): 16.2140 16.2140 16.2140
angles (deg): 90.00 90.00 90.00
Space group Fd-3m (No. 227, origin choice 2)
Asymmetric unit:
Cd 0.0000 0.0000 0.0000
Cd 0.0000 0.0000 0.5000
Cd 0.0165 0.3750 0.3750
Cd 0.0623 0.0623 0.8171
Au 0.1250 0.1250 0.6250

Largest 8 diffraction maxima, low angle first, 2θ from 5° to 70°:
hkl	2theta	intensity
5 3 1	32.7	100.0
6 2 0	35.0	58.9
5 3 3	36.3	89.4
6 2 2	36.8	91.4
4 4 4	38.5	23.5
9 3 3	56.5	24.0
6 6 6	59.2	26.5
8 8 0	65.1	57.9

***

(8)
Cu2IrPd2: theoretical powder diffraction line list (CuKα), based on a structure optimized by DFT (PBE).

Crystal structure
a b c (Å): 7.2460 7.2460 2.7465
angles (deg): 90.00 90.00 90.00
Space group P4/mbm (No. 127)
Asymmetric unit:
Cu 0.1641 0.3359 0.0000
Ir 0.0000 0.0000 0.5000
Pd 0.1346 0.6346 0.5000

Largest 8 diffraction maxima, low angle first, 2θ from 5° to 70°:
hkl	2theta	intensity
0 0 1	32.6	20.6
2 2 0	35.0	23.9
1 1 1	37.1	13.9
3 1 0	39.3	100.0
2 0 1	41.2	31.9
2 1 1	43.2	75.0
3 1 1	52.0	36.5
4 2 0	56.8	22.6